1.
Simulated powder XRD pattern of TlZnSnAu for Cu Kα, from a cell relaxed with PBE.
Kinematic intensities with the Lorentz-polarization factor, no thermal factor.

The 10 most intense peaks (10 to 90 degrees two-theta), in order of rising 2θ:
- 23.45°, intensity 47, hkl 1 1 0
- 23.68°, intensity 23, hkl 2 0 -1
- 30.75°, intensity 53, hkl 1 1 1
- 31.22°, intensity 19, hkl 2 0 -2
- 34.36°, intensity 51, hkl 2 0 1
- 34.76°, intensity 100, hkl 1 1 -2
- 40.21°, intensity 38, hkl 0 2 0
- 40.38°, intensity 74, hkl 3 1 -1
- 53.90°, intensity 29, hkl 2 2 1
- 57.84°, intensity 18, hkl 1 1 3

Cell and atoms:
Lattice parameters (Å, degrees): 7.728 4.485 6.311 90.00 113.08 90.00
Space group Cm (No. 8)
Inequivalent atoms, fractional coordinates:
Tl 0.000 0.000 0.000 (multiplicity 2)
Zn 0.063 0.500 0.696 (multiplicity 2)
Sn 0.293 0.500 0.383 (multiplicity 2)
Au 0.196 0.000 0.592 (multiplicity 2)

2.
Simulated powder XRD pattern of AcPm2Tl for Cu Kα, from a cell relaxed with PBE.
Kinematic intensities with the Lorentz-polarization factor, no thermal factor.

The 10 most intense peaks (10 to 90 degrees two-theta), in order of rising 2θ:
- 30.25°, intensity 100, hkl 1 0 2
- 33.49°, intensity 41, hkl 1 1 0
- 38.05°, intensity 11, hkl 0 0 4
- 48.10°, intensity 16, hkl 2 0 0
- 51.58°, intensity 19, hkl 1 1 4
- 57.88°, intensity 33, hkl 2 1 2
- 62.92°, intensity 11, hkl 2 0 4
- 63.98°, intensity 7, hkl 1 0 6
- 80.23°, intensity 7, hkl 3 1 0
- 83.88°, intensity 7, hkl 2 1 6

Cell and atoms:
Lattice parameters (Å, degrees): 3.784 3.784 9.459 90.00 90.00 90.00
Space group P4/mmm (No. 123)
Inequivalent atoms, fractional coordinates:
Ac 0.000 0.000 0.000 (multiplicity 1)
Pm 0.500 0.500 0.281 (multiplicity 2)
Tl 0.000 0.000 0.500 (multiplicity 1)

3.
Simulated powder XRD pattern of Pm3Pr2In7 for Cu Kα, from a cell relaxed with PBE.
Kinematic intensities with the Lorentz-polarization factor, no thermal factor.

The 10 most intense peaks (10 to 90 degrees two-theta), in order of rising 2θ:
- 29.30°, intensity 8, hkl 1 5 1
- 32.60°, intensity 24, hkl 0 0 2
- 34.08°, intensity 100, hkl 2 0 0
- 47.86°, intensity 16, hkl 2 0 2
- 50.06°, intensity 5, hkl 0 14 0
- 59.12°, intensity 16, hkl 1 7 3
- 60.99°, intensity 20, hkl 3 7 1
- 61.93°, intensity 5, hkl 2 14 0
- 71.75°, intensity 9, hkl 4 0 0
- 80.21°, intensity 7, hkl 3 7 3

Cell and atoms:
Lattice parameters (Å, degrees): 5.264 25.512 5.494 90.00 90.00 90.00
Space group Cmmm (No. 65)
Inequivalent atoms, fractional coordinates:
Pm 0.000 0.000 0.000 (multiplicity 2)
Pm 0.000 0.154 0.000 (multiplicity 4)
Pr 0.000 0.356 0.500 (multiplicity 4)
In 0.000 0.071 0.500 (multiplicity 4)
In 0.000 0.225 0.500 (multiplicity 4)
In 0.000 0.424 0.000 (multiplicity 4)
In 0.000 0.500 0.500 (multiplicity 2)

4.
Simulated powder XRD pattern of Er4TmCo2 for Cu Kα, from a cell relaxed with PBE.
Kinematic intensities with the Lorentz-polarization factor, no thermal factor.

The 10 most intense peaks (10 to 90 degrees two-theta), in order of rising 2θ:
- 27.71°, intensity 47, hkl 2 1 -1
- 31.34°, intensity 100, hkl 0 2 1
- 31.61°, intensity 89, hkl 2 1 -2
- 31.96°, intensity 62, hkl 1 2 -1
- 32.51°, intensity 45, hkl 1 0 2
- 32.75°, intensity 51, hkl 2 0 1
- 35.09°, intensity 77, hkl 1 0 -3
- 35.65°, intensity 89, hkl 3 0 -1
- 37.25°, intensity 56, hkl 1 2 -2
- 38.74°, intensity 78, hkl 2 2 0

Cell and atoms:
Lattice parameters (Å, degrees): 7.566 6.239 7.684 90.00 112.85 90.00
Space group P2_1/m (No. 11)
Inequivalent atoms, fractional coordinates:
Er 0.124 0.250 0.480 (multiplicity 2)
Er 0.174 0.750 0.250 (multiplicity 2)
Er 0.260 0.502 0.913 (multiplicity 4)
Tm 0.473 0.250 0.335 (multiplicity 2)
Co 0.091 0.250 0.127 (multiplicity 2)
Co 0.486 0.250 0.766 (multiplicity 2)

5.
Simulated powder XRD pattern of Tm4Sb6O19 for Cu Kα, from a cell relaxed with PBE.
Kinematic intensities with the Lorentz-polarization factor, no thermal factor.

The 10 most intense peaks (10 to 90 degrees two-theta), in order of rising 2θ:
- 23.21°, intensity 64, hkl 1 1 -2
- 23.30°, intensity 27, hkl 3 1 -2
- 23.57°, intensity 50, hkl 2 2 -1
- 29.98°, intensity 100, hkl 3 1 0
- 30.10°, intensity 28, hkl 4 0 -3
- 30.80°, intensity 56, hkl 1 3 -1
- 33.25°, intensity 56, hkl 4 2 -2
- 36.35°, intensity 33, hkl 3 3 -2
- 49.93°, intensity 25, hkl 5 3 -4
- 50.19°, intensity 32, hkl 2 4 1

Cell and atoms:
Lattice parameters (Å, degrees): 13.306 9.157 9.396 90.00 134.68 90.00
Space group C2 (No. 5)
Inequivalent atoms, fractional coordinates:
Tm 0.154 0.000 0.288 (multiplicity 4)
Tm 0.155 0.267 0.023 (multiplicity 4)
Sb 0.000 0.473 0.500 (multiplicity 2)
Sb 0.000 0.633 0.166 (multiplicity 4)
Sb 0.000 0.794 0.500 (multiplicity 2)
Sb 0.168 0.133 0.668 (multiplicity 4)
O 0.000 0.133 0.000 (multiplicity 2)
O 0.000 0.489 0.000 (multiplicity 2)
O 0.000 0.775 0.000 (multiplicity 2)
O 0.001 0.133 0.361 (multiplicity 4)
O 0.043 0.814 0.312 (multiplicity 4)
O 0.044 0.451 0.773 (multiplicity 4)
O 0.183 0.922 0.726 (multiplicity 4)
O 0.184 0.344 0.641 (multiplicity 4)
O 0.215 0.590 0.392 (multiplicity 4)
O 0.217 0.676 0.039 (multiplicity 4)
O 0.220 0.634 0.719 (multiplicity 4)

6.
Simulated powder XRD pattern of Hf2MgSc6 for Cu Kα, from a cell relaxed with PBE.
Kinematic intensities with the Lorentz-polarization factor, no thermal factor.

The 10 most intense peaks (10 to 90 degrees two-theta), in order of rising 2θ:
- 11.16°, intensity 78, hkl 0 0 3
- 31.85°, intensity 50, hkl 1 0 0
- 32.75°, intensity 19, hkl 1 0 2
- 33.88°, intensity 100, hkl 0 0 9
- 35.33°, intensity 49, hkl 1 0 4
- 37.16°, intensity 56, hkl 1 0 5
- 39.31°, intensity 54, hkl 1 0 6
- 47.22°, intensity 33, hkl 1 0 9
- 56.74°, intensity 26, hkl 1 1 0
- 67.77°, intensity 37, hkl 1 1 9

Cell and atoms:
Lattice parameters (Å, degrees): 3.2448 3.2448 23.7770 90.00 90.00 120.00
Space group P-6m2 (No. 187)
Inequivalent atoms, fractional coordinates:
Hf 0.0000 0.0000 0.1684 (multiplicity 2)
Mg 0.3333 0.6667 0.5000 (multiplicity 1)
Sc 0.0000 0.0000 0.3854 (multiplicity 2)
Sc 0.3333 0.6667 0.0643 (multiplicity 2)
Sc 0.3333 0.6667 0.2749 (multiplicity 2)